[1]
Structure and simulated powder diffractogram of LiCa2CuN2 (DFT lattice parameters and positions (GGA-PBE); Cu Ka).
No peak broadening, texture or thermal motion is included.

Structure:
a = 6.0773 Å, b = 7.5834 Å, c = 3.9467 Å
α = 90.00°, β = 90.00°, γ = 90.00°
Sites, in units of the cell vectors:
Li 0.0000 0.0000 0.0000
Li 0.5000 0.5000 0.5000
Ca 0.1314 0.2362 0.5000
Ca 0.3686 0.7362 0.0000
Ca 0.6314 0.2638 0.0000
Ca 0.8686 0.7638 0.5000
Cu 0.0000 0.5000 0.0000
Cu 0.5000 0.0000 0.5000
N 0.2243 0.8923 0.5000
N 0.2757 0.3923 0.0000
N 0.7243 0.6077 0.0000
N 0.7757 0.1077 0.5000

Peak list (12 most intense, 10° ≤ 2θ ≤ 80°, sorted by position)
2θ (°)  Rel. int.
18.71  46
25.44  67
29.44  25
31.72  26
36.02  100
37.95  15
38.57  16
45.13  20
45.99  24
50.65  24
52.49  11
66.27  11

[2]
Structure and simulated powder diffractogram of La7TeAs5 (DFT lattice parameters and positions (GGA-PBE); Cu Ka).
No peak broadening, texture or thermal motion is included.

Structure:
a = 7.5602 Å, b = 7.5602 Å, c = 25.7616 Å
α = 90.06°, β = 90.06°, γ = 33.58°
Sites, in units of the cell vectors:
La 0.0331 0.0331 0.2502
La 0.1371 0.1371 0.5347
La 0.1369 0.1369 0.9653
La 0.3234 0.3234 0.3266
La 0.3239 0.3239 0.1732
La 0.4104 0.4104 0.8957
La 0.4109 0.4109 0.6042
La 0.5891 0.5891 0.3958
La 0.5896 0.5896 0.1043
La 0.6761 0.6761 0.8268
La 0.6766 0.6766 0.6734
La 0.8631 0.8631 0.0347
La 0.8629 0.8629 0.4653
La 0.9669 0.9669 0.7498
Te 0.2984 0.2984 0.7505
Te 0.7016 0.7016 0.2495
As 0.0440 0.0440 0.8563
As 0.0446 0.0446 0.6437
As 0.2272 0.2272 0.4264
As 0.2276 0.2276 0.0734
As 0.5000 0.5000 0.0000
As 0.5000 0.5000 0.5000
As 0.7724 0.7724 0.9266
As 0.7728 0.7728 0.5736
As 0.9554 0.9554 0.3563
As 0.9560 0.9560 0.1437

Peak list (12 most intense, 10° ≤ 2θ ≤ 80°, sorted by position)
2θ (°)  Rel. int.
27.18  83
27.49  24
28.42  100
29.48  84
30.38  21
38.10  22
39.90  20
41.16  29
41.33  100
43.00  27
50.19  31
75.42  17

[3]
Structure and simulated powder diffractogram of Pm3Al3Si2 (DFT lattice parameters and positions (GGA-PBE); Cu Ka).
No peak broadening, texture or thermal motion is included.

Structure:
a = 6.0092 Å, b = 6.0092 Å, c = 15.8353 Å
α = 90.00°, β = 90.00°, γ = 139.89°
Sites, in units of the cell vectors:
Pm 0.0687 0.9313 0.7500
Pm 0.3559 0.6441 0.5919
Pm 0.3559 0.6441 0.9081
Pm 0.6441 0.3559 0.0919
Pm 0.6441 0.3559 0.4081
Pm 0.9313 0.0687 0.2500
Al 0.0733 0.9267 0.5579
Al 0.0733 0.9267 0.9421
Al 0.2047 0.7953 0.2500
Al 0.7953 0.2047 0.7500
Al 0.9267 0.0733 0.0579
Al 0.9267 0.0733 0.4421
Si 0.3481 0.6519 0.1212
Si 0.3481 0.6519 0.3788
Si 0.6519 0.3481 0.6212
Si 0.6519 0.3481 0.8788

Peak list (12 most intense, 10° ≤ 2θ ≤ 80°, sorted by position)
2θ (°)  Rel. int.
23.07  100
23.66  39
25.61  56
28.59  42
31.70  28
32.21  88
32.34  89
32.72  51
33.97  51
43.94  34
47.51  27
49.14  32

[4]
Structure and simulated powder diffractogram of Cs4Tl4Pb (DFT lattice parameters and positions (GGA-PBE); Cu Ka).
No peak broadening, texture or thermal motion is included.

Structure:
a = 11.4089 Å, b = 11.4089 Å, c = 7.1534 Å
α = 90.00°, β = 90.00°, γ = 90.00°
Sites, in units of the cell vectors:
Cs 0.0573 0.8288 0.1023
Cs 0.1712 0.5573 0.6023
Cs 0.3288 0.9427 0.6023
Cs 0.4427 0.6712 0.1023
Cs 0.5573 0.3288 0.8977
Cs 0.6712 0.0573 0.3977
Cs 0.8288 0.4427 0.3977
Cs 0.9427 0.1712 0.8977
Tl 0.1009 0.1948 0.3862
Tl 0.1948 0.3991 0.1138
Tl 0.3052 0.1009 0.1138
Tl 0.3991 0.3052 0.3862
Tl 0.6009 0.6948 0.6138
Tl 0.6948 0.8991 0.8862
Tl 0.8052 0.6009 0.8862
Tl 0.8991 0.8052 0.6138
Pb 0.2500 0.2500 0.7500
Pb 0.7500 0.7500 0.2500

Peak list (12 most intense, 10° ≤ 2θ ≤ 80°, sorted by position)
2θ (°)  Rel. int.
10.97  100
15.53  23
24.68  44
25.35  47
26.11  24
26.54  26
27.69  60
30.52  60
30.90  46
34.76  25
41.25  33
50.59  23

[5]
Structure and simulated powder diffractogram of Pm3HoPb4 (DFT lattice parameters and positions (GGA-PBE); Cu Ka).
No peak broadening, texture or thermal motion is included.

Structure:
a = 18.7576 Å, b = 5.0897 Å, c = 5.0939 Å
α = 90.00°, β = 105.56°, γ = 90.00°
Sites, in units of the cell vectors:
Pm 0.0000 0.0000 0.0000
Pm 0.2494 0.0000 0.2494
Pm 0.2506 0.5000 0.7506
Pm 0.5000 0.5000 0.0000
Pm 0.7494 0.5000 0.2494
Pm 0.7506 0.0000 0.7506
Ho 0.0000 0.5000 0.5000
Ho 0.5000 0.0000 0.5000
Pb 0.1235 0.0000 0.6237
Pb 0.1235 0.5000 0.1237
Pb 0.3765 0.0000 0.8763
Pb 0.3765 0.5000 0.3763
Pb 0.6235 0.0000 0.1237
Pb 0.6235 0.5000 0.6237
Pb 0.8765 0.0000 0.3763
Pb 0.8765 0.5000 0.8763

Peak list (12 most intense, 10° ≤ 2θ ≤ 80°, sorted by position)
2θ (°)  Rel. int.
31.78  100
35.25  38
39.91  14
50.71  14
54.18  6
54.33  17
61.05  16
61.15  16
66.32  6
66.50  6
67.34  6
67.48  6

[6]
Structure and simulated powder diffractogram of Np2H2O7 (DFT lattice parameters and positions (GGA-PBE); Cu Ka).
No peak broadening, texture or thermal motion is included.

Structure:
a = 5.6583 Å, b = 5.8033 Å, c = 6.1191 Å
α = 106.39°, β = 99.04°, γ = 112.73°
Sites, in units of the cell vectors:
Np 0.0000 0.0000 0.0000
Np 0.3710 0.6622 0.0668
H 0.4863 0.8909 0.6301
H 0.5095 0.6254 0.5160
O 0.0471 0.3146 0.8549
O 0.1587 0.7976 0.2243
O 0.2154 0.8692 0.8374
O 0.3238 0.3507 0.2262
O 0.6039 0.5763 0.9081
O 0.6130 0.8251 0.5796
O 0.7637 0.0685 0.1698

Peak list (12 most intense, 10° ≤ 2θ ≤ 80°, sorted by position)
2θ (°)  Rel. int.
15.83  100
17.86  32
18.65  28
19.99  21
23.64  20
28.37  19
30.70  20
31.97  12
32.09  25
34.06  16
36.03  16
40.18  12

[7]
Structure and simulated powder diffractogram of YTiRu2N (DFT lattice parameters and positions (GGA-PBE); Cu Ka).
No peak broadening, texture or thermal motion is included.

Structure:
a = 4.3362 Å, b = 4.3362 Å, c = 5.8518 Å
α = 90.00°, β = 90.00°, γ = 90.00°
Sites, in units of the cell vectors:
Y 0.0000 0.0000 0.0000
Ti 0.0000 0.0000 0.5000
Ru 0.0000 0.5000 0.5000
Ru 0.5000 0.0000 0.5000
N 0.5000 0.5000 0.0000

Peak list (12 most intense, 10° ≤ 2θ ≤ 80°, sorted by position)
2θ (°)  Rel. int.
15.14  55
20.48  38
30.55  57
32.98  100
37.07  16
41.66  47
44.57  14
52.53  47
55.86  21
60.38  15
69.18  20
70.54  21

[8]
Structure and simulated powder diffractogram of LaPaMn2Se8 (DFT lattice parameters and positions (GGA-PBE); Cu Ka).
No peak broadening, texture or thermal motion is included.

Structure:
a = 8.2968 Å, b = 8.2968 Å, c = 8.2968 Å
α = 131.54°, β = 131.54°, γ = 70.95°
Sites, in units of the cell vectors:
La 0.0000 0.0000 0.0000
Pa 0.2500 0.7500 0.5000
Mn 0.5000 0.5000 0.0000
Mn 0.7500 0.2500 0.5000
Se 0.2733 0.6948 0.1312
Se 0.3052 0.4364 0.5785
Se 0.4048 0.0078 0.0532
Se 0.5636 0.1421 0.8688
Se 0.6484 0.5952 0.6029
Se 0.8579 0.7267 0.4215
Se 0.9545 0.3516 0.9468
Se 0.9922 0.0455 0.3971

Peak list (12 most intense, 10° ≤ 2θ ≤ 80°, sorted by position)
2θ (°)  Rel. int.
14.57  50
22.68  100
30.08  66
32.37  52
35.59  38
35.74  19
37.35  36
37.50  52
44.14  58
44.41  25
44.71  22
61.26  21

[9]
Structure and simulated powder diffractogram of RbPmInSe3 (DFT lattice parameters and positions (GGA-PBE); Cu Ka).
No peak broadening, texture or thermal motion is included.

Structure:
a = 9.0933 Å, b = 4.7240 Å, c = 10.3539 Å
α = 90.00°, β = 107.42°, γ = 90.00°
Sites, in units of the cell vectors:
Rb 0.2156 0.2500 0.2353
Rb 0.7844 0.7500 0.7647
Pm 0.3339 0.7500 0.8647
Pm 0.6661 0.2500 0.1353
In 0.1093 0.2500 0.5958
In 0.8907 0.7500 0.4042
Se 0.1117 0.2500 0.8551
Se 0.2318 0.7500 0.5495
Se 0.4676 0.7500 0.1523
Se 0.5324 0.2500 0.8477
Se 0.7682 0.2500 0.4505
Se 0.8883 0.7500 0.1449

Peak list (12 most intense, 10° ≤ 2θ ≤ 80°, sorted by position)
2θ (°)  Rel. int.
11.38  100
25.95  21
27.08  23
27.38  45
27.92  59
31.82  24
32.19  20
35.18  23
38.10  32
39.85  16
40.96  33
45.08  16

[10]
Structure and simulated powder diffractogram of VReMo14 (DFT lattice parameters and positions (GGA-PBE); Cu Ka).
No peak broadening, texture or thermal motion is included.

Structure:
a = 5.4528 Å, b = 5.4528 Å, c = 8.9359 Å
α = 90.00°, β = 90.00°, γ = 109.34°
Sites, in units of the cell vectors:
V 0.0000 0.0000 0.0000
Re 0.5000 0.5000 0.0000
Mo 0.0000 0.0000 0.5000
Mo 0.0000 0.5000 0.0000
Mo 0.0000 0.5000 0.5000
Mo 0.2482 0.2482 0.2475
Mo 0.2482 0.2482 0.7525
Mo 0.2496 0.7504 0.2479
Mo 0.2496 0.7504 0.7521
Mo 0.5000 0.0000 0.0000
Mo 0.5000 0.0000 0.5000
Mo 0.5000 0.5000 0.5000
Mo 0.7504 0.2496 0.2479
Mo 0.7504 0.2496 0.7521
Mo 0.7518 0.7518 0.2475
Mo 0.7518 0.7518 0.7525

Peak list (12 most intense, 10° ≤ 2θ ≤ 80°, sorted by position)
2θ (°)  Rel. int.
17.24  2
19.91  3
26.42  2
34.81  1
34.91  1
40.44  100
40.56  20
44.23  1
45.49  1
58.56  20
73.49  20
73.69  20

[11]
Structure and simulated powder diffractogram of KCrTe3 (DFT lattice parameters and positions (GGA-PBE); Cu Ka).
No peak broadening, texture or thermal motion is included.

Structure:
a = 4.0685 Å, b = 5.2903 Å, c = 7.2246 Å
α = 90.00°, β = 90.00°, γ = 90.00°
Sites, in units of the cell vectors:
K 0.0000 0.0000 0.0000
Cr 0.0000 0.5000 0.5000
Te 0.0000 0.0000 0.5000
Te 0.5000 0.5000 0.2492
Te 0.5000 0.5000 0.7508

Peak list (12 most intense, 10° ≤ 2θ ≤ 80°, sorted by position)
2θ (°)  Rel. int.
12.25  46
16.76  23
25.12  18
27.66  95
29.95  77
33.17  100
33.89  47
44.54  22
48.15  68
54.61  28
57.12  20
58.59  26

[12]
Structure and simulated powder diffractogram of Sm12BiPd6 (DFT lattice parameters and positions (GGA-PBE); Cu Ka).
No peak broadening, texture or thermal motion is included.

Structure:
a = 8.8686 Å, b = 8.8686 Å, c = 8.8686 Å
α = 109.47°, β = 109.47°, γ = 109.47°
Sites, in units of the cell vectors:
Sm 0.1163 0.8147 0.3016
Sm 0.1853 0.3016 0.4869
Sm 0.1853 0.6984 0.8837
Sm 0.3016 0.1163 0.8147
Sm 0.3016 0.4869 0.1853
Sm 0.4869 0.1853 0.3016
Sm 0.5131 0.8147 0.6984
Sm 0.6984 0.5131 0.8147
Sm 0.6984 0.8837 0.1853
Sm 0.8147 0.3016 0.1163
Sm 0.8147 0.6984 0.5131
Sm 0.8837 0.1853 0.6984
Bi 0.0000 0.0000 0.0000
Pd 0.1340 0.6340 0.5000
Pd 0.3660 0.5000 0.8660
Pd 0.5000 0.1340 0.6340
Pd 0.5000 0.8660 0.3660
Pd 0.6340 0.5000 0.1340
Pd 0.8660 0.3660 0.5000

Peak list (12 most intense, 10° ≤ 2θ ≤ 80°, sorted by position)
2θ (°)  Rel. int.
27.54  16
30.23  26
32.72  100
35.05  14
37.25  12
45.15  23
52.07  19
53.70  14
55.30  30
64.32  16
72.71  7
79.40  13